Pm2Mg3Pt4: simulated powder diffractogram (Cu Kα), based on the GGA-PBE geometry in Alexandria.
Kinematic intensities with the Lorentz-polarization factor, no thermal factor.

Structure:
```
data_Pm2Mg3Pt4
_chemical_formula_sum 'Pm4 Mg6 Pt8'
_cell_length_a 7.3697
_cell_length_b 7.3479
_cell_length_c 7.2697
_cell_angle_alpha 90.00
_cell_angle_beta 110.30
_cell_angle_gamma 90.00
_space_group_name_H-M_alt 'P 1'
_space_group_IT_number 1
loop_
_space_group_symop_operation_xyz
'x,y,z'
loop_
_atom_site_label
_atom_site_type_symbol
_atom_site_fract_x
_atom_site_fract_y
_atom_site_fract_z
_atom_site_occupancy
Pm1 Pm 0.1921 0.1746 0.0574 1
Pm2 Pm 0.1921 0.3254 0.5574 1
Pm3 Pm 0.8079 0.6746 0.4426 1
Pm4 Pm 0.8079 0.8254 0.9426 1
Mg1 Mg 0.2555 0.6661 0.2458 1
Mg2 Mg 0.2555 0.8339 0.7458 1
Mg3 Mg 0.5000 0.0000 0.5000 1
Mg4 Mg 0.5000 0.5000 0.0000 1
Mg5 Mg 0.7445 0.1661 0.2542 1
Mg6 Mg 0.7445 0.3339 0.7542 1
Pt1 Pt 0.0783 0.5409 0.8484 1
Pt2 Pt 0.0783 0.9591 0.3484 1
Pt3 Pt 0.4940 0.1362 0.8665 1
Pt4 Pt 0.4940 0.3638 0.3665 1
Pt5 Pt 0.5060 0.6362 0.6335 1
Pt6 Pt 0.5060 0.8638 0.1335 1
Pt7 Pt 0.9217 0.0409 0.6516 1
Pt8 Pt 0.9217 0.4591 0.1516 1
```

The 10 most intense peaks (10 to 90 degrees two-theta), in order of rising 2θ:
2θ/deg  intensity
24.49  96
27.54  60
32.20  68
32.44  49
34.73  99
34.94  37
35.33  89
38.85  36
39.08  100
39.15  82